# Ba2LiCuH6
Computed powder diffraction line list, Cu Kα (weighted mean of Kα1 and Kα2). Input: a DFT-relaxed cell (PBE, OQMD).
Intensities are scaled so that the largest is 100.

Structure:
```
data_Ba2LiCuH6
_chemical_formula_sum 'Ba8 Li4 Cu4 H24'
_space_group_name_H-M_alt 'F m -3 m'
_space_group_IT_number 225
_space_group_name_Hall '-F 4 2 3'
_cell_length_a 7.8979
_cell_length_b 7.8979
_cell_length_c 7.8979
_cell_angle_alpha 90.00
_cell_angle_beta 90.00
_cell_angle_gamma 90.00
loop_
_atom_site_label
_atom_site_type_symbol
_atom_site_fract_x
_atom_site_fract_y
_atom_site_fract_z
Ba1 Ba 0.2500 0.2500 0.2500
Li1 Li 0.0000 0.0000 0.0000
Cu1 Cu 0.0000 0.0000 0.5000
H1 H 0.0000 0.0000 0.2625
```

Main lines, by angle (5 to 70 degrees two-theta):
(hkl), Position (°2θ), I (rel.)
1 1 1, 19.47, 9
2 0 0, 22.52, 37
2 2 0, 32.05, 100
3 1 1, 37.78, 5
2 2 2, 39.53, 13
4 0 0, 45.96, 19
3 3 1, 50.36, 2
4 2 0, 51.77, 16
4 2 2, 57.13, 38
4 4 0, 67.03, 12


# Sr2TmNbO6
Computed powder diffraction line list, Cu Kα (weighted mean of Kα1 and Kα2). Input: a DFT-relaxed cell (PBE, OQMD).
Intensities are scaled so that the largest is 100.

Structure:
```
data_Sr2TmNbO6
_chemical_formula_sum 'Sr4 Tm2 Nb2 O12'
_space_group_name_H-M_alt 'P n n 2'
_space_group_IT_number 34
_cell_length_a 5.8713
_cell_length_b 8.2745
_cell_length_c 5.8431
_cell_angle_alpha 90.00
_cell_angle_beta 90.00
_cell_angle_gamma 90.00
loop_
_space_group_symop_operation_xyz
'x,y,z'
'-x,-y,z'
'-x+1/2,y+1/2,z+1/2'
'x+1/2,-y+1/2,z+1/2'
loop_
_atom_site_label
_atom_site_type_symbol
_atom_site_fract_x
_atom_site_fract_y
_atom_site_fract_z
Sr1 Sr 0.0142 0.2497 0.0000
Tm1 Tm 0.0000 0.0000 0.4993
Nb1 Nb 0.0000 0.5000 0.4990
O1 O 0.0127 0.7404 0.4778
O2 O 0.2311 0.5041 0.7485
O3 O 0.2498 0.4910 0.2683
```

Main lines, by angle (5 to 70 degrees two-theta):
(hkl), Position (°2θ), I (rel.)
1 1 0, 18.56, 6
1 0 1, 21.46, 13
1 2 1, 30.52, 100
0 0 2, 30.60, 20
0 3 1, 35.97, 5
0 4 0, 43.73, 38
2 2 2, 49.23, 4
2 4 0, 54.19, 24
1 2 3, 54.35, 24
2 4 2, 63.57, 15


# LaIrO3
Computed powder diffraction line list, Cu Kα (weighted mean of Kα1 and Kα2). Input: a DFT-relaxed cell (PBE, OQMD).
Intensities are scaled so that the largest is 100.

Structure:
```
data_LaIrO3
_chemical_formula_sum 'La6 Ir6 O18'
_space_group_name_H-M_alt 'R -3 c'
_space_group_IT_number 167
_space_group_name_Hall '-R 3 2"c'
_cell_length_a 5.8387
_cell_length_b 5.8387
_cell_length_c 12.6791
_cell_angle_alpha 90.00
_cell_angle_beta 90.00
_cell_angle_gamma 120.00
loop_
_atom_site_label
_atom_site_type_symbol
_atom_site_fract_x
_atom_site_fract_y
_atom_site_fract_z
La1 La 0.0000 0.0000 0.2500
Ir1 Ir 0.0000 0.0000 0.0000
O1 O 0.0000 0.4002 0.2500
```

Main lines, by angle (5 to 70 degrees two-theta):
(hkl), Position (°2θ), I (rel.)
0 1 2, 22.49, 9
1 1 0, 30.62, 100
1 0 4, 33.36, 86
0 2 4, 45.91, 44
1 2 2, 49.83, 2
1 1 6, 53.53, 2
3 0 0, 54.44, 26
2 1 4, 56.20, 41
0 1 8, 61.29, 15
2 2 0, 63.76, 14